# 1
SnAsHOs: theoretical powder XRD pattern (CuKα), based on a crystal structure in Alexandria, relaxed with PBE.
Lines closer than 0.1° are merged.

Main lines, in order of rising 2θ (2θ = 10–80°):
2theta  I_rel
20.82  718
24.68  1000
36.67  484
37.48  609
39.61  563
43.86  780

Structure:
```
SnAsHOs
1.0
3.485 -2.276 0.000
3.485 2.276 0.000
-2.656 0.000 4.266
Sn As H Os
1 1 1 1
Cartesian
0.000 0.000 0.000 Sn
2.209 0.000 1.707 As
-0.792 0.000 2.360 H
4.725 0.000 1.600 Os
```

***

# 2
SnAsHOs: theoretical powder XRD pattern (CuKα), based on a crystal structure in Alexandria, relaxed with PBE.
Lines closer than 0.1° are merged.

Main lines, in order of rising 2θ (2θ = 10–80°):
2theta  I_rel
17.28  740
28.08  1000
28.33  514
39.04  629
45.38  524
48.89  363

Structure:
```
SnAsHOs
1.0
3.447 -2.024 0.000
3.447 2.024 0.000
-2.281 0.000 5.132
Sn As H Os
1 1 1 1
Cartesian
0.000 0.000 0.000 Sn
-0.022 0.000 2.732 As
2.309 0.000 1.948 H
2.293 0.000 3.568 Os
```